This entry pairs a crystal structure of LaPrNd6Dy2 with its theoretical powder diffractogram. Radiation: Cu Kα (weighted mean of Kα1 and Kα2). Structure: a PBE-relaxed structure.
No peak broadening, texture or thermal motion is included.

Cell and atoms:
```
data_LaPrNd6Dy2
_symmetry_space_group_name_H-M 'C 1 2/m 1'
_symmetry_Int_Tables_number 12
_cell_length_a 11.340
_cell_length_b 7.093
_cell_length_c 9.015
_cell_angle_alpha 90.00
_cell_angle_beta 102.90
_cell_angle_gamma 90.00
loop_
_symmetry_equiv_pos_as_xyz
'x,y,z'
'-x,-y,-z'
'-x,y,-z'
'x,-y,z'
'x+1/2,y+1/2,z'
'-x+1/2,-y+1/2,-z'
'-x+1/2,y+1/2,-z'
'x+1/2,-y+1/2,z'
loop_
_atom_site_label
_atom_site_type_symbol
_atom_site_fract_x
_atom_site_fract_y
_atom_site_fract_z
_atom_site_occupancy
La1 La 0.000 0.000 0.000 1
Pr1 Pr 0.000 0.500 0.500 1
Nd1 Nd 0.136 0.500 0.930 1
Nd2 Nd 0.177 0.230 0.302 1
Dy1 Dy 0.089 0.000 0.659 1
```

Most intense lines, 2θ from 10° to 90°, in order of falling intensity:
| Position (°2θ) | I (rel.) | hkl |
| --- | --- | --- |
| 30.46 | 100 | 2 2 -1 |
| 32.41 | 68 | 0 2 2 |
| 31.01 | 39 | 3 1 1 |
| 29.93 | 39 | 2 2 0 |
| 26.60 | 30 | 1 1 2 |
| 30.68 | 29 | 3 1 -2 |
| 34.25 | 26 | 4 0 -2 |
| 28.64 | 21 | 2 0 2 |
| 31.70 | 21 | 4 0 -1 |
| 54.79 | 20 | 2 2 4 |